Entry 1:
Calculated powder diffraction line list of Mn2Al7V2 for Cu Kα, from a structure optimized by DFT (PBE).

a = 5.093 Å, b = 5.093 Å, c = 7.763 Å
α = 90.00°, β = 90.00°, γ = 118.58°
Fractional positions:
1 Mn 0.189 0.189 0.000
2 Mn 0.811 0.811 0.000
3 Al 0.000 0.000 0.500
4 Al 0.000 0.500 0.187
5 Al 0.000 0.500 0.813
6 Al 0.500 0.000 0.187
7 Al 0.500 0.000 0.813
8 Al 0.500 0.500 0.252
9 Al 0.500 0.500 0.748
10 V 0.306 0.694 0.500
11 V 0.694 0.306 0.500

Most intense lines, 15 to 90 degrees two-theta, in order of rising 2θ:
| 2theta | I (rel.) |
| --- | --- |
| 22.9 | 457 |
| 23.3 | 568 |
| 36.4 | 750 |
| 40.5 | 608 |
| 42.5 | 674 |
| 46.9 | 1000 |

Entry 2:
Calculated powder diffraction line list of MnAlW2 for Cu Kα, from a structure optimized by DFT (PBE).

a = 4.366 Å, b = 4.366 Å, c = 4.366 Å
α = 60.00°, β = 60.00°, γ = 60.00°
Fractional positions:
1 Mn 0.000 0.000 0.000
2 Al 0.750 0.750 0.750
3 W 0.250 0.250 0.250
4 W 0.500 0.500 0.500

Most intense lines, 15 to 90 degrees two-theta, in order of rising 2θ:
| 2theta | I (rel.) |
| --- | --- |
| 25.0 | 488 |
| 41.4 | 1000 |
| 48.9 | 252 |
| 59.9 | 167 |
| 75.4 | 340 |
| 89.9 | 113 |

Entry 3:
Calculated powder diffraction line list of YMn2Al10 for Cu Kα, from a structure optimized by DFT (PBE).

a = 6.805 Å, b = 6.805 Å, c = 9.046 Å
α = 90.00°, β = 90.00°, γ = 97.34°
Fractional positions:
1 Y 0.127 0.873 0.750
2 Y 0.873 0.127 0.250
3 Mn 0.000 0.500 0.000
4 Mn 0.000 0.500 0.500
5 Mn 0.500 0.000 0.000
6 Mn 0.500 0.000 0.500
7 Al 0.134 0.412 0.750
8 Al 0.155 0.845 0.096
9 Al 0.155 0.845 0.404
10 Al 0.217 0.476 0.250
11 Al 0.229 0.229 0.000
12 Al 0.229 0.229 0.500
13 Al 0.374 0.626 0.543
14 Al 0.374 0.626 0.957
15 Al 0.412 0.134 0.250
16 Al 0.476 0.217 0.750
17 Al 0.524 0.783 0.250
18 Al 0.588 0.866 0.750
19 Al 0.626 0.374 0.043
20 Al 0.626 0.374 0.457
21 Al 0.771 0.771 0.000
22 Al 0.771 0.771 0.500
23 Al 0.783 0.524 0.750
24 Al 0.845 0.155 0.596
25 Al 0.845 0.155 0.904
26 Al 0.866 0.588 0.250

Most intense lines, 15 to 90 degrees two-theta, in order of rising 2θ:
| 2theta | I (rel.) |
| --- | --- |
| 37.0 | 341 |
| 39.9 | 344 |
| 40.1 | 1000 |
| 40.6 | 905 |
| 45.5 | 305 |
| 72.9 | 287 |